# 1
Structure and computed powder X-ray diffraction pattern of Li3H2Pd2 (a DFT-relaxed cell (GGA-PBE, Alexandria); Cu Ka).

Peak list (6 most intense, 2θ = 10–90°, low angle first)
(hkl), two_theta, intensity
1 1 0, 23.24, 100
0 2 0, 25.16, 36
0 0 4, 32.83, 21
1 1 4, 40.61, 50
0 2 4, 41.80, 19
1 3 0, 43.19, 16

Cell and atoms:
Cell: 4.550 7.079 10.913 Å, 90.00 90.00 90.00°
Fractional positions:
Li (0.244, 0.118, 0.250)
Li (0.244, 0.382, 0.750)
Li (0.253, 0.064, 0.562)
Li (0.253, 0.064, 0.938)
Li (0.253, 0.436, 0.062)
Li (0.253, 0.436, 0.438)
Li (0.747, 0.564, 0.562)
Li (0.747, 0.564, 0.938)
Li (0.747, 0.936, 0.062)
Li (0.747, 0.936, 0.438)
Li (0.756, 0.618, 0.250)
Li (0.756, 0.882, 0.750)
H (0.031, 0.750, 0.000)
H (0.031, 0.750, 0.500)
H (0.478, 0.651, 0.750)
H (0.478, 0.849, 0.250)
H (0.522, 0.151, 0.750)
H (0.522, 0.349, 0.250)
H (0.969, 0.250, 0.000)
H (0.969, 0.250, 0.500)
Pd (0.257, 0.716, 0.626)
Pd (0.257, 0.716, 0.874)
Pd (0.257, 0.784, 0.126)
Pd (0.257, 0.784, 0.374)
Pd (0.743, 0.216, 0.626)
Pd (0.743, 0.216, 0.874)
Pd (0.743, 0.284, 0.126)
Pd (0.743, 0.284, 0.374)



# 2
Structure and computed powder X-ray diffraction pattern of TaVCu6S8 (a DFT-relaxed cell (GGA-PBE, Alexandria); Cu Ka).

Peak list (6 most intense, 2θ = 10–90°, low angle first)
(hkl), two_theta, intensity
1 1 0, 16.16, 100
2 0 1, 28.18, 26
1 1 2, 36.64, 42
2 2 2, 46.85, 67
3 1 2, 49.88, 24
4 0 4, 87.04, 20

Cell and atoms:
Cell: 7.753 7.753 5.489 Å, 90.00 90.00 90.00°
Fractional positions:
Ta (0.000, 0.000, 0.000)
V (0.500, 0.500, 0.000)
Cu (0.000, 0.000, 0.500)
Cu (0.254, 0.254, 0.000)
Cu (0.254, 0.746, 0.000)
Cu (0.500, 0.500, 0.500)
Cu (0.746, 0.254, 0.000)
Cu (0.746, 0.746, 0.000)
S (0.000, 0.245, 0.757)
S (0.000, 0.755, 0.757)
S (0.245, 0.000, 0.243)
S (0.267, 0.500, 0.235)
S (0.500, 0.267, 0.765)
S (0.500, 0.733, 0.765)
S (0.733, 0.500, 0.235)
S (0.755, 0.000, 0.243)



# 3
Structure and computed powder X-ray diffraction pattern of LiW3S (a DFT-relaxed cell (GGA-PBE, Alexandria); Cu Ka).

Peak list (6 most intense, 2θ = 10–90°, low angle first)
(hkl), two_theta, intensity
1 0 0, 20.01, 51
1 1 1, 35.03, 100
2 0 0, 40.67, 63
2 1 0, 45.72, 23
2 2 0, 58.87, 43
3 1 1, 70.37, 41

Cell and atoms:
Cell: 4.437 4.437 4.437 Å, 90.00 90.00 90.00°
Fractional positions:
Li (0.000, 0.000, 0.000)
W (0.000, 0.500, 0.500)
W (0.500, 0.000, 0.500)
W (0.500, 0.500, 0.000)
S (0.500, 0.500, 0.500)